Theoretical XRD peak list
Compound: LiMnBO3
Radiation: a wavelength of 1.5418 Å
Structure: a DFT-relaxed cell (PBE+U, the Materials Project)

Structural model:
a = 5.7322 Å, b = 7.6842 Å, c = 7.5315 Å
α = 90.00°, β = 122.44°, γ = 90.00°
Space group P2_1/c (No. 14)
Inequivalent atoms, fractional coordinates:
Li (0.1472, 0.2178, 0.2410) x4
Mn (0.3227, 0.5176, 0.0988) x4
B (0.2411, 0.6699, 0.6762) x4
O (0.0303, 0.7073, 0.0737) x4
O (0.2252, 0.5302, 0.7852) x4
O (0.4838, 0.6931, 0.6796) x4

Peak list (8 most intense, 10° ≤ 2θ ≤ 90°, in order of falling intensity)
index, Position (°2θ), intensity
0 1 1, 18.11, 100
1 0 -2, 23.87, 38
1 1 -3, 37.91, 37
2 1 -1, 33.88, 29
2 3 -1, 48.03, 21
2 2 0, 44.25, 17
0 1 2, 30.44, 14
0 2 0, 23.15, 12

=====

Theoretical XRD peak list
Compound: FeBO3
Radiation: a wavelength of 1.5418 Å
Structure: a DFT-relaxed cell (PBE+U, the Materials Project)

Structural model:
a = 4.9981 Å, b = 8.6502 Å, c = 5.4630 Å
α = 90.00°, β = 90.46°, γ = 90.00°
Space group C2 (No. 5)
Inequivalent atoms, fractional coordinates:
Fe (0.9998, 0.0000, 0.2494) x4
B (0.0000, 0.3333, 0.0000) x2
B (0.0000, 0.6668, 0.5000) x2
O (0.0000, 0.1736, 0.0000) x2
O (0.0000, 0.8265, 0.5000) x2
O (0.2394, 0.4128, 0.9986) x4
O (0.2395, 0.5872, 0.4984) x4

Peak list (8 most intense, 10° ≤ 2θ ≤ 90°, in order of falling intensity)
index, Position (°2θ), intensity
1 1 0, 20.53, 100
2 0 0, 35.95, 16
2 4 0, 56.25, 14
0 2 1, 26.23, 12
1 1 2, 39.12, 11
0 2 2, 39.00, 11
1 1 -2, 38.87, 11
2 0 2, 49.58, 10

=====

Theoretical XRD peak list
Compound: Li3V5O14
Radiation: a wavelength of 1.5418 Å
Structure: a DFT-relaxed cell (PBE+U, the Materials Project)

Structural model:
a = 8.7708 Å, b = 8.7708 Å, c = 4.8923 Å
α = 90.00°, β = 90.00°, γ = 120.00°
Space group P31m (No. 157)
Inequivalent atoms, fractional coordinates:
Li (0.0000, 0.6180, 0.0000) x3
V (0.0000, 0.2249, 0.2706) x3
V (0.3333, 0.6667, 0.2962) x2
O (0.0000, 0.2262, 0.6021) x3
O (0.0000, 0.8252, 0.1692) x3
O (0.1668, 0.4630, 0.1612) x6
O (0.3333, 0.6667, 0.6323) x2

Peak list (8 most intense, 10° ≤ 2θ ≤ 90°, in order of falling intensity)
index, Position (°2θ), intensity
0 0 1, 18.13, 100
1 1 0, 20.25, 49
2 1 0, 31.15, 37
2 0 0, 23.42, 30
2 1 1, 36.28, 26
1 1 1, 27.31, 25
4 1 0, 55.43, 18
3 -1 3, 65.86, 17

=====

Theoretical XRD peak list
Compound: La4Ga3FeO12
Radiation: a wavelength of 1.5418 Å
Structure: a DFT-relaxed cell (PBE+U, the Materials Project)

Structural model:
a = 5.5370 Å, b = 5.5371 Å, c = 9.6706 Å
α = 106.21°, β = 90.81°, γ = 119.16°
Space group P-1 (No. 2)
Inequivalent atoms, fractional coordinates:
La (0.1246, 0.2495, 0.3751) x2
La (0.3752, 0.7494, 0.1252) x2
Ga (0.2493, 0.4989, 0.7491) x2
Ga (0.5000, 0.0000, 0.5000) x1
Fe (0.0000, 0.0000, 0.0000) x1
O (0.0557, 0.6783, 0.8738) x2
O (0.0913, 0.1814, 0.8391) x2
O (0.0906, 0.7508, 0.4105) x2
O (0.4098, 0.8201, 0.6600) x2
O (0.4128, 0.2525, 0.0912) x2
O (0.4454, 0.3200, 0.6247) x2

Peak list (8 most intense, 10° ≤ 2θ ≤ 90°, in order of falling intensity)
index, Position (°2θ), intensity
2 -1 0, 32.34, 100
0 1 2, 31.93, 97
2 0 2, 46.08, 58
1 0 5, 57.16, 41
1 2 1, 56.89, 24
3 -2 3, 57.94, 19
1 0 1, 22.57, 18
4 -1 2, 76.80, 17

=====

Theoretical XRD peak list
Compound: Li4Mn5SbO12
Radiation: a wavelength of 1.5418 Å
Structure: a DFT-relaxed cell (PBE+U, the Materials Project)

Structural model:
a = 5.5327 Å, b = 8.9883 Å, c = 10.6314 Å
α = 90.00°, β = 99.53°, γ = 90.00°
Space group C2/m (No. 12)
Inequivalent atoms, fractional coordinates:
Li (0.2462, 0.1767, 0.2106) x8
Mn (0.0000, 0.0000, 0.0000) x2
Mn (0.0000, 0.1662, 0.5000) x4
Mn (0.0000, 0.3356, 0.0000) x4
Sb (0.0000, 0.5000, 0.5000) x2
O (0.0914, 0.1824, 0.8907) x8
O (0.1572, 0.5000, 0.9097) x4
O (0.1694, 0.3319, 0.6039) x8
O (0.1985, 0.0000, 0.5882) x4

Peak list (8 most intense, 10° ≤ 2θ ≤ 90°, in order of falling intensity)
index, Position (°2θ), intensity
0 0 2, 16.91, 100
2 0 -2, 34.50, 24
1 3 -3, 41.32, 18
1 3 1, 35.91, 17
1 3 3, 44.79, 15
2 0 0, 32.83, 10
1 3 -5, 53.72, 10
3 3 -1, 58.80, 10

=====

Theoretical XRD peak list
Compound: Nb2Co4O9
Radiation: a wavelength of 1.5418 Å
Structure: a DFT-relaxed cell (PBE+U, the Materials Project)

Structural model:
a = 5.2081 Å, b = 5.2173 Å, c = 14.3283 Å
α = 90.04°, β = 90.02°, γ = 119.87°
Space group P1 (No. 1)
Inequivalent atoms, fractional coordinates:
Nb (0.0000, 0.0000, 0.0000) x1
Nb (0.9998, 0.0001, 0.2837) x1
Nb (0.9986, 0.9975, 0.4996) x1
Nb (0.9990, 0.9983, 0.7839) x1
Co (0.3310, 0.6664, 0.6288) x1
Co (0.3344, 0.6665, 0.1278) x1
Co (0.3357, 0.6618, 0.3302) x1
Co (0.3358, 0.6637, 0.8303) x1
Co (0.6651, 0.3323, 0.9461) x1
Co (0.6658, 0.3322, 0.1547) x1
Co (0.6669, 0.3308, 0.6523) x1
Co (0.6666, 0.3334, 0.4468) x1
O (0.0017, 0.7111, 0.3911) x1
O (0.0210, 0.3422, 0.2246) x1
O (0.0205, 0.6768, 0.7253) x1
O (0.2859, 0.9962, 0.8917) x1
O (0.2874, 0.2900, 0.3916) x1
O (0.3204, 0.3423, 0.7252) x1
O (0.3199, 0.9778, 0.2250) x1
O (0.3419, 0.0189, 0.5575) x1
O (0.3435, 0.3216, 0.0577) x1
O (0.6531, 0.6769, 0.2257) x1
O (0.6552, 0.9781, 0.7254) x1
O (0.6757, 0.0192, 0.0574) x1
O (0.6766, 0.6542, 0.5576) x1
O (0.7078, 0.7100, 0.8915) x1
O (0.7079, 0.9987, 0.3916) x1
O (0.9762, 0.6550, 0.0577) x1
O (0.9770, 0.3214, 0.5570) x1
O (0.9991, 0.2903, 0.8913) x1

Peak list (8 most intense, 10° ≤ 2θ ≤ 90°, in order of falling intensity)
index, Position (°2θ), intensity
1 -1 4, 31.88, 100
1 1 0, 34.36, 51
-1 2 6, 51.91, 36
2 -1 0, 34.44, 25
-1 1 2, 23.28, 25
2 0 4, 47.63, 24
3 0 0, 61.64, 19
2 -3 4, 60.08, 17

=====

Theoretical XRD peak list
Compound: Mn5VO12
Radiation: a wavelength of 1.5418 Å
Structure: a DFT-relaxed cell (PBE+U, the Materials Project)

Structural model:
a = 5.0567 Å, b = 8.8613 Å, c = 9.5008 Å
α = 90.00°, β = 90.15°, γ = 90.00°
Space group C2/m (No. 12)
Inequivalent atoms, fractional coordinates:
Mn (0.0000, 0.0000, 0.0000) x2
Mn (0.0000, 0.1677, 0.5000) x4
Mn (0.0000, 0.3333, 0.0000) x4
V (0.0000, 0.5000, 0.5000) x2
O (0.1658, 0.3292, 0.3980) x8
O (0.1665, 0.5000, 0.1006) x4
O (0.1666, 0.1666, 0.1005) x8
O (0.1709, 0.0000, 0.3999) x4

Peak list (8 most intense, 10° ≤ 2θ ≤ 90°, in order of falling intensity)
index, Position (°2θ), intensity
0 0 2, 18.68, 100
1 3 3, 45.67, 29
1 3 -1, 36.48, 28
3 3 1, 64.39, 15
1 3 5, 60.79, 15
2 0 -2, 40.41, 15
1 3 2, 40.13, 9
2 0 0, 35.51, 6

=====

Theoretical XRD peak list
Compound: NaNi3O8
Radiation: a wavelength of 1.5418 Å
Structure: a DFT-relaxed cell (PBE+U, the Materials Project)

Structural model:
a = 4.8096 Å, b = 8.3289 Å, c = 7.0556 Å
α = 90.00°, β = 103.08°, γ = 90.00°
Space group Cm (No. 8)
Inequivalent atoms, fractional coordinates:
Na (0.0000, 0.0000, 0.0000) x2
Ni (0.3189, 0.5000, 0.4975) x2
Ni (0.3203, 0.1668, 0.5006) x4
O (0.0006, 0.3325, 0.0004) x4
O (0.1976, 0.0000, 0.6398) x2
O (0.2011, 0.3343, 0.6404) x4
O (0.4362, 0.0000, 0.3586) x2
O (0.4416, 0.3335, 0.3588) x4

Peak list (8 most intense, 10° ≤ 2θ ≤ 90°, in order of falling intensity)
index, Position (°2θ), intensity
0 0 1, 12.88, 100
0 0 2, 25.93, 26
1 3 -2, 43.58, 20
1 3 -1, 38.44, 16
2 0 -1, 37.66, 13
1 3 -3, 52.02, 13
2 0 1, 43.55, 11
0 6 0, 67.46, 9